Si12CO24: computed PXRD pattern (Cu Kα), based on a DFT-relaxed cell (GGA-PBE, the Materials Project).
Lines closer than 0.1° are merged.

Largest 10 diffraction maxima, sorted by position, 2θ = 10–90°:
two_theta	d_spacing	Rel. int.
10.08	8.776	57
12.47	7.096	42
16.06	5.518	25
20.06	4.427	100
20.24	4.388	21
23.86	3.729	54
23.96	3.714	39
24.20	3.678	65
25.10	3.548	50
35.00	2.564	23

Cell and atoms:
Unit cell a=11.285 b=11.285 c=5.128 alpha=90.18 beta=90.18 gamma=77.91
Element x y z (fractional)
1 Si 0.000 0.000 0.000
2 Si 0.076 0.483 0.986
3 Si 0.108 0.108 0.520
4 Si 0.150 0.734 0.904
5 Si 0.317 0.724 0.406
6 Si 0.354 0.354 0.009
7 Si 0.386 0.978 0.486
8 Si 0.458 0.458 0.510
9 Si 0.483 0.076 0.986
10 Si 0.724 0.317 0.406
11 Si 0.734 0.150 0.904
12 Si 0.978 0.386 0.486
13 C 0.939 0.939 0.433
14 O 0.025 0.476 0.281
15 O 0.033 0.033 0.312
16 O 0.052 0.858 0.954
17 O 0.066 0.251 0.460
18 O 0.077 0.077 0.817
19 O 0.082 0.622 0.921
20 O 0.207 0.739 0.616
21 O 0.209 0.394 0.960
22 O 0.251 0.066 0.460
23 O 0.261 0.716 0.116
24 O 0.382 0.839 0.419
25 O 0.386 0.386 0.308
26 O 0.394 0.209 0.960
27 O 0.418 0.603 0.464
28 O 0.426 0.426 0.808
29 O 0.437 0.985 0.781
30 O 0.476 0.025 0.281
31 O 0.603 0.418 0.464
32 O 0.622 0.082 0.921
33 O 0.716 0.261 0.116
34 O 0.739 0.207 0.616
35 O 0.839 0.382 0.419
36 O 0.858 0.052 0.954
37 O 0.985 0.437 0.781